Record 1
# CaMn2Si4O12
Simulated XRD peak list, Cu Kα (λ = 1.5418 Å). Input: DFT lattice parameters and positions (PBE+U).

Atomic structure:
```
19
Lattice="4.955 -4.502 0.000 4.955 4.502 0.000 -1.713 0.000 5.016" Properties=species:S:1:pos:R:3 pbc="T T T"
Ca 0.000 0.000 0.000
Mn 4.955 -0.747 0.000
Mn 4.098 -2.564 2.508
Si 1.201 1.918 4.913
Si 1.184 -0.932 2.658
Si 6.996 1.918 0.103
Si 7.013 -0.932 2.359
O 3.052 2.905 1.221
O 2.134 2.699 3.785
O 0.593 0.502 2.194
O 3.378 0.431 0.213
O 5.144 2.905 3.795
O 6.063 2.699 1.231
O 2.750 -1.039 3.160
O 4.819 0.431 4.803
O 3.634 -2.530 0.617
O 5.447 -1.039 1.857
O 7.604 0.502 2.822
O 4.562 -2.530 4.399
```

Peak list (10 most intense, 10 to 80 degrees two-theta, in order of rising 2θ)
13.6°, I = 53; 19.8°, I = 48; 29.2°, I = 100; 30.3°, I = 48; 34.6°, I = 25; 35.8°, I = 29; 36.2°, I = 36; 41.4°, I = 15; 41.6°, I = 17; 55.6°, I = 14


Record 2
# CaMn4Si5O15
Simulated XRD peak list, Cu Kα (λ = 1.5418 Å). Input: DFT lattice parameters and positions (PBE+U).

Atomic structure:
```
50
Lattice="6.806 0.000 0.000 -0.543 7.803 0.000 -0.507 -3.289 11.525" Properties=species:S:1:pos:R:3 pbc="T T T"
Ca 0.797 -0.281 2.226
Ca 4.959 4.795 9.298
Mn 1.609 0.810 5.508
Mn 1.470 1.308 8.880
Mn 2.151 5.153 0.630
Mn 2.532 5.729 4.053
Mn 3.224 -1.214 7.471
Mn 3.605 -0.638 10.894
Mn 4.286 3.207 2.645
Mn 4.147 3.704 6.017
Si -0.582 4.839 4.315
Si 0.305 -1.084 11.184
Si 1.055 2.812 2.751
Si 1.032 3.888 6.791
Si 1.414 4.454 9.741
Si 4.342 0.060 1.784
Si 4.724 0.626 4.734
Si 4.701 1.702 8.773
Si 5.452 5.599 0.341
Si 6.338 -0.325 7.209
O -0.338 3.597 3.209
O -0.283 4.140 5.810
O 0.105 5.519 0.997
O 0.691 2.094 1.303
O 0.396 6.090 4.051
O 0.848 -2.629 10.759
O 0.531 4.376 8.311
O 1.158 -0.481 7.275
O 1.331 1.510 3.651
O 1.486 2.343 6.915
O 1.414 0.050 10.792
O 1.748 2.953 10.241
O 2.246 3.925 2.671
O 2.283 4.803 6.231
O 2.534 6.866 2.038
O 3.223 -2.351 9.486
O 3.473 -0.288 5.294
O 3.510 0.589 8.853
O 4.008 1.562 1.284
O 4.342 4.464 0.732
O 4.270 2.172 4.609
O 4.425 3.005 7.874
O 4.599 4.995 4.250
O 5.225 0.139 3.214
O 4.908 7.144 0.765
O 5.360 -1.575 7.473
O 5.066 2.420 10.222
O 5.651 -1.005 10.527
O 6.039 0.374 5.715
O 6.094 0.917 8.316
```

Peak list (10 most intense, 10 to 80 degrees two-theta, in order of rising 2θ)
28.0°, I = 48; 28.3°, I = 26; 29.5°, I = 77; 30.0°, I = 83; 31.8°, I = 100; 33.3°, I = 24; 39.9°, I = 24; 40.7°, I = 32; 52.3°, I = 23; 53.1°, I = 23


Record 3
# CaMn3ZnSi5O15
Simulated XRD peak list, Cu Kα (λ = 1.5418 Å). Input: DFT lattice parameters and positions (PBE+U).

Atomic structure:
```
50
Lattice="6.797 0.000 0.000 -0.490 7.798 0.000 -0.414 -3.176 11.419" Properties=species:S:1:pos:R:3 pbc="T T T"
Ca 0.796 -0.265 2.233
Ca 5.097 4.887 9.186
Mn 1.566 1.379 8.803
Mn 2.183 5.146 0.642
Mn 2.586 5.761 4.046
Mn 3.307 -1.139 7.373
Mn 3.710 -0.524 10.777
Mn 4.327 3.242 2.617
Zn 1.737 0.929 5.484
Zn 4.155 3.692 5.935
Si -0.528 4.854 4.311
Si 0.412 -0.994 11.099
Si 1.091 2.816 2.769
Si 1.155 3.912 6.720
Si 1.563 4.532 9.659
Si 4.330 0.089 1.760
Si 4.738 0.710 4.699
Si 4.802 1.806 8.650
Si 5.481 5.616 0.320
Si 6.420 -0.233 7.108
O -0.305 3.611 3.195
O -0.165 4.158 5.775
O 0.140 5.535 0.981
O 0.713 2.077 1.330
O 0.452 6.096 4.019
O 0.950 -2.543 10.679
O 0.674 4.415 8.237
O 1.251 -0.395 7.130
O 1.372 1.517 3.686
O 1.516 0.143 10.698
O 1.602 2.362 6.840
O 1.908 3.034 10.156
O 2.281 3.928 2.661
O 2.425 4.808 6.158
O 2.589 6.877 2.038
O 3.304 -2.256 9.381
O 3.468 -0.186 5.262
O 3.612 0.693 8.758
O 3.985 1.588 1.263
O 4.291 2.259 4.580
O 4.377 4.479 0.721
O 4.521 3.105 7.734
O 4.642 5.017 4.289
O 5.219 0.206 3.182
O 4.943 7.164 0.740
O 5.441 -1.474 7.400
O 5.180 2.544 10.089
O 5.753 -0.913 10.438
O 6.058 0.463 5.644
O 6.198 1.010 8.224
```

Peak list (10 most intense, 10 to 80 degrees two-theta, in order of rising 2θ)
26.3°, I = 23; 28.1°, I = 36; 29.5°, I = 54; 29.7°, I = 19; 30.4°, I = 71; 31.8°, I = 100; 33.5°, I = 23; 34.0°, I = 24; 35.1°, I = 25; 40.9°, I = 29


Record 4
# CaSmMn4O12
Simulated XRD peak list, Cu Kα (λ = 1.5418 Å). Input: DFT lattice parameters and positions (PBE+U).

Atomic structure:
```
18
Lattice="5.327 0.000 0.000 0.000 5.327 0.000 0.000 0.000 7.564" Properties=species:S:1:pos:R:3 pbc="T T T"
Ca 0.000 0.000 0.000
Sm 2.664 2.664 3.782
Mn 0.000 2.664 1.868
Mn 0.000 2.664 5.697
Mn 2.664 0.000 1.868
Mn 2.664 0.000 5.697
O 0.000 2.664 0.000
O 0.000 2.664 3.782
O 1.364 1.364 1.972
O 1.364 1.364 5.592
O 1.364 3.963 1.972
O 1.364 3.963 5.592
O 2.664 0.000 0.000
O 2.664 0.000 3.782
O 3.963 1.364 1.972
O 3.963 1.364 5.592
O 3.963 3.963 1.972
O 3.963 3.963 5.592
```

Peak list (10 most intense, 10 to 80 degrees two-theta, in order of rising 2θ)
11.7°, I = 20; 16.6°, I = 19; 20.4°, I = 72; 33.6°, I = 100; 39.7°, I = 25; 48.1°, I = 17; 48.3°, I = 33; 52.9°, I = 16; 60.1°, I = 24; 70.6°, I = 18


Record 5
# Ca3SmMn4O12
Simulated XRD peak list, Cu Kα (λ = 1.5418 Å). Input: DFT lattice parameters and positions (PBE+U).

Atomic structure:
```
20
Lattice="5.361 0.000 0.000 0.000 7.667 0.000 -0.013 0.000 5.457" Properties=species:S:1:pos:R:3 pbc="T T T"
Ca 0.000 0.000 0.000
Ca 0.058 3.833 4.972
Ca 2.736 0.000 2.736
Sm 2.642 3.833 2.224
Mn 0.015 1.894 2.497
Mn 0.015 5.772 2.497
Mn 2.709 1.895 5.211
Mn 2.709 5.772 5.211
O 0.421 0.000 2.355
O 1.163 2.268 0.925
O 1.163 5.399 0.925
O 1.610 2.213 3.615
O 1.610 5.454 3.615
O 2.296 0.000 5.119
O 3.096 3.833 5.302
O 3.777 1.659 1.400
O 3.777 6.008 1.400
O 4.300 1.617 4.112
O 4.300 6.050 4.112
O 4.978 3.833 2.597
```

Peak list (10 most intense, 10 to 80 degrees two-theta, in order of rising 2θ)
11.5°, I = 17; 26.0°, I = 18; 32.8°, I = 25; 33.1°, I = 100; 33.4°, I = 25; 47.5°, I = 36; 47.6°, I = 16; 58.8°, I = 15; 59.5°, I = 23; 69.4°, I = 16